[1]
Sr5Ca3Mn6Fe2O24: simulated powder diffractogram (Cu Kα X-rays), based on the PBE+U geometry in the Materials Project.

Cell and atoms:
```
data_Sr5Ca3Mn6Fe2O24
_chemical_formula_sum 'Sr5 Ca3 Mn6 Fe2 O24'
_cell_length_a 7.7464
_cell_length_b 7.7059
_cell_length_c 7.7518
_cell_angle_alpha 90.00
_cell_angle_beta 90.00
_cell_angle_gamma 90.00
_space_group_name_H-M_alt 'P 1 m 1'
_space_group_IT_number 6
loop_
_space_group_symop_operation_xyz
'x,y,z'
'x,-y,z'
loop_
_atom_site_label
_atom_site_type_symbol
_atom_site_fract_x
_atom_site_fract_y
_atom_site_fract_z
Sr1 Sr 0.0000 0.0000 0.0000
Sr2 Sr 0.9999 0.0000 0.4992
Sr3 Sr 0.9999 0.5000 0.0000
Sr4 Sr 0.0000 0.5000 0.4992
Sr5 Sr 0.4993 0.0000 0.4991
Ca1 Ca 0.4988 0.0000 0.0003
Ca2 Ca 0.4989 0.5000 0.0005
Ca3 Ca 0.4989 0.5000 0.4986
Mn1 Mn 0.2510 0.2505 0.2491
Mn2 Mn 0.2508 0.2505 0.7502
Mn3 Mn 0.7477 0.2505 0.2492
Fe1 Fe 0.7474 0.2506 0.7503
O1 O 0.0000 0.2502 0.2493
O2 O 0.0031 0.2505 0.7501
O3 O 0.2529 0.0000 0.2466
O4 O 0.2533 0.0000 0.7524
O5 O 0.2532 0.2529 0.4992
O6 O 0.2555 0.5000 0.7498
O7 O 0.2558 0.2503 0.9999
O8 O 0.2557 0.5000 0.2494
O9 O 0.4959 0.2523 0.7520
O10 O 0.4993 0.2529 0.2467
O11 O 0.7441 0.2506 0.0032
O12 O 0.7437 0.5000 0.2491
O13 O 0.7444 0.5000 0.7502
O14 O 0.7463 0.0000 0.2468
O15 O 0.7462 0.0000 0.7519
O16 O 0.7460 0.2525 0.4960
```

Largest 6 diffraction maxima, low angle first, 5° ≤ 2θ ≤ 70°:
(2 0 2), d = 2.736 Å, 2θ 32.7, I 100
(2 2 0), d = 2.732 Å, 2θ 32.8, I 50
(0 0 4), d = 1.937 Å, 2θ 46.9, I 43
(0 4 0), d = 1.926 Å, 2θ 47.2, I 21
(4 2 2), d = 1.580 Å, 2θ 58.4, I 37
(0 4 4), d = 1.366 Å, 2θ 68.7, I 23



[2]
LiMn3H6Se8O24: simulated powder diffractogram (Cu Kα X-rays), based on the PBE+U geometry in the Materials Project.

Cell and atoms:
```
data_LiMn3H6Se8O24
_chemical_formula_sum 'Li3 Mn9 H18 Se24 O72'
_cell_length_a 11.3009
_cell_length_b 11.3009
_cell_length_c 15.2605
_cell_angle_alpha 90.00
_cell_angle_beta 90.00
_cell_angle_gamma 120.00
_space_group_name_H-M_alt 'R -3'
_space_group_IT_number 148
_space_group_name_Hall '-R 3'
loop_
_atom_site_label
_atom_site_type_symbol
_atom_site_fract_x
_atom_site_fract_y
_atom_site_fract_z
Li1 Li 0.0000 0.0000 0.0000
Mn1 Mn 0.0000 0.5000 0.0000
H1 H 0.0788 0.5779 0.5759
Se1 Se 0.0000 0.0000 0.3300
Se2 Se 0.0372 0.7494 0.1202
O1 O 0.0041 0.2808 0.7722
O2 O 0.0129 0.2659 0.2541
O3 O 0.0530 0.9004 0.3853
O4 O 0.0671 0.1808 0.9183
```

Largest 6 diffraction maxima, low angle first, 5° ≤ 2θ ≤ 70°:
(1 1 3), d = 3.781 Å, 2θ 23.5, I 100
(3 -1 1), d = 3.595 Å, 2θ 24.8, I 75
(1 0 4), d = 3.555 Å, 2θ 25.1, I 26
(3 -2 2), d = 3.329 Å, 2θ 26.8, I 36
(3 0 0), d = 3.262 Å, 2θ 27.3, I 34
(4 -2 3), d = 2.470 Å, 2θ 36.4, I 32



[3]
MgV2CoO6: simulated powder diffractogram (Cu Kα X-rays), based on the PBE+U geometry in the Materials Project.

Cell and atoms:
```
data_MgV2CoO6
_chemical_formula_sum 'Mg1 V2 Co1 O6'
_cell_length_a 5.0455
_cell_length_b 5.0595
_cell_length_c 5.6464
_cell_angle_alpha 65.34
_cell_angle_beta 65.03
_cell_angle_gamma 60.58
_space_group_name_H-M_alt 'P 1'
_space_group_IT_number 1
loop_
_space_group_symop_operation_xyz
'x,y,z'
loop_
_atom_site_label
_atom_site_type_symbol
_atom_site_fract_x
_atom_site_fract_y
_atom_site_fract_z
Mg1 Mg 0.0000 0.0000 0.0000
V1 V 0.1946 0.1834 0.4563
V2 V 0.6662 0.6493 0.0194
Co1 Co 0.8397 0.8394 0.4970
O1 O 0.0141 0.8258 0.7443
O2 O 0.2584 0.5812 0.2446
O3 O 0.4003 0.0420 0.7187
O4 O 0.5840 0.9171 0.2334
O5 O 0.7978 0.4325 0.7695
O6 O 0.9284 0.2619 0.2466
```

Largest 6 diffraction maxima, low angle first, 5° ≤ 2θ ≤ 70°:
(0 1 0), d = 4.248 Å, 2θ 20.9, I 61
(1 0 0), d = 4.226 Å, 2θ 21.0, I 64
(1 1 1), d = 4.145 Å, 2θ 21.4, I 73
(0 1 1), d = 3.755 Å, 2θ 23.7, I 99
(1 2 1), d = 2.525 Å, 2θ 35.6, I 100
(1 2 3), d = 1.740 Å, 2θ 52.6, I 77



[4]
Eu2YWO6: simulated powder diffractogram (Cu Kα X-rays), based on the PBE+U geometry in the Materials Project.

Cell and atoms:
```
data_Eu2YWO6
_chemical_formula_sum 'Eu8 Y4 W4 O24'
_cell_length_a 8.3915
_cell_length_b 8.3915
_cell_length_c 8.3915
_cell_angle_alpha 90.00
_cell_angle_beta 90.00
_cell_angle_gamma 90.00
_space_group_name_H-M_alt 'F m -3 m'
_space_group_IT_number 225
_space_group_name_Hall '-F 4 2 3'
loop_
_atom_site_label
_atom_site_type_symbol
_atom_site_fract_x
_atom_site_fract_y
_atom_site_fract_z
Eu1 Eu 0.2500 0.2500 0.2500
Y1 Y 0.0000 0.0000 0.0000
W1 W 0.0000 0.0000 0.5000
O1 O 0.0000 0.0000 0.2629
```

Largest 6 diffraction maxima, low angle first, 5° ≤ 2θ ≤ 70°:
(1 1 1), d = 4.845 Å, 2θ 18.3, I 7
(2 2 0), d = 2.967 Å, 2θ 30.1, I 100
(3 1 1), d = 2.530 Å, 2θ 35.5, I 3
(4 0 0), d = 2.098 Å, 2θ 43.1, I 28
(4 2 2), d = 1.713 Å, 2θ 53.5, I 41
(4 4 0), d = 1.483 Å, 2θ 62.6, I 18



[5]
Na6Mn2PC4O16: simulated powder diffractogram (Cu Kα X-rays), based on the PBE+U geometry in the Materials Project.

Cell and atoms:
a b c (Å): 14.2100 14.2100 14.2100
angles (deg): 90.00 90.00 90.00
Space group Fd-3 (No. 203, origin choice 2)
Inequivalent atoms, fractional coordinates:
1 Na 0.0829 0.3750 0.3750
2 Mn 0.0000 0.0000 0.5000
3 P 0.1250 0.1250 0.1250
4 C 0.0319 0.0319 0.7181
5 O 0.0209 0.1007 0.7773
6 O 0.0618 0.0618 0.0618

Largest 6 diffraction maxima, low angle first, 5° ≤ 2θ ≤ 70°:
(1 1 1), d = 8.204 Å, 2θ 10.8, I 20
(3 1 1), d = 4.284 Å, 2θ 20.7, I 76
(5 1 1), d = 2.735 Å, 2θ 32.7, I 100
(4 4 0), d = 2.512 Å, 2θ 35.7, I 57
(5 1 3), d = 2.402 Å, 2θ 37.4, I 20
(5 5 5), d = 1.641 Å, 2θ 56.0, I 33



[6]
Fe3OF5: simulated powder diffractogram (Cu Kα X-rays), based on the PBE+U geometry in the Materials Project.

Cell and atoms:
```
data_Fe3OF5
_chemical_formula_sum 'Fe12 O4 F20'
_cell_length_a 9.1903
_cell_length_b 6.9692
_cell_length_c 7.4611
_cell_angle_alpha 90.00
_cell_angle_beta 111.62
_cell_angle_gamma 90.00
_space_group_name_H-M_alt 'C 1 2/m 1'
_space_group_IT_number 12
loop_
_space_group_symop_operation_xyz
'x,y,z'
'-x,-y,-z'
'-x,y,-z'
'x,-y,z'
'x+1/2,y+1/2,z'
'-x+1/2,-y+1/2,-z'
'-x+1/2,y+1/2,-z'
'x+1/2,-y+1/2,z'
loop_
_atom_site_label
_atom_site_type_symbol
_atom_site_fract_x
_atom_site_fract_y
_atom_site_fract_z
Fe1 Fe 0.0000 0.0000 0.0000
Fe2 Fe 0.0000 0.0000 0.5000
Fe3 Fe 0.1662 0.5000 0.1855
Fe4 Fe 0.1784 0.5000 0.6564
O1 O 0.2234 0.0000 0.5308
F1 F 0.0000 0.3081 0.5000
F2 F 0.0687 0.5000 0.8697
F3 F 0.1055 0.0000 0.8049
F4 F 0.1682 0.1988 0.1616
```

Largest 6 diffraction maxima, low angle first, 5° ≤ 2θ ≤ 70°:
(0 2 0), d = 3.485 Å, 2θ 25.6, I 100
(2 0 -2), d = 3.367 Å, 2θ 26.5, I 92
(1 1 2), d = 2.651 Å, 2θ 33.8, I 53
(3 1 0), d = 2.636 Å, 2θ 34.0, I 48
(1 3 2), d = 1.805 Å, 2θ 50.6, I 34
(3 3 0), d = 1.800 Å, 2θ 50.7, I 32



[7]
Li3Mn4B4O12: simulated powder diffractogram (Cu Kα X-rays), based on the PBE+U geometry in the Materials Project.

Cell and atoms:
```
data_Li3Mn4B4O12
_chemical_formula_sum 'Li6 Mn8 B8 O24'
_cell_length_a 5.2849
_cell_length_b 9.1379
_cell_length_c 11.6133
_cell_angle_alpha 113.04
_cell_angle_beta 101.37
_cell_angle_gamma 90.05
_space_group_name_H-M_alt 'P 1'
_space_group_IT_number 1
loop_
_space_group_symop_operation_xyz
'x,y,z'
loop_
_atom_site_label
_atom_site_type_symbol
_atom_site_fract_x
_atom_site_fract_y
_atom_site_fract_z
Li1 Li 0.0000 0.0000 0.0000
Li2 Li 0.0890 0.3701 0.7623
Li3 Li 0.2738 0.2227 0.5102
Li4 Li 0.3645 0.6218 0.3184
Li5 Li 0.5228 0.4855 0.9985
Li6 Li 0.7833 0.7243 0.5045
Mn1 Mn 0.0444 0.3559 0.0509
Mn2 Mn 0.0830 0.7254 0.7826
Mn3 Mn 0.2951 0.9102 0.5432
Mn4 Mn 0.3499 0.2767 0.2848
Mn5 Mn 0.5255 0.8186 0.0329
Mn6 Mn 0.6095 0.1897 0.7944
Mn7 Mn 0.7889 0.4131 0.5377
Mn8 Mn 0.8594 0.7963 0.2852
B1 B 0.0493 0.6754 0.0340
B2 B 0.0849 0.0687 0.7991
B3 B 0.2941 0.5773 0.5377
B4 B 0.3599 0.9442 0.2928
B5 B 0.5280 0.1552 0.0311
B6 B 0.5984 0.5436 0.8021
B7 B 0.8173 0.0867 0.5558
B8 B 0.8503 0.4626 0.2991
O1 O 0.0597 0.6145 0.5793
O2 O 0.0823 0.4407 0.2540
O3 O 0.1324 0.7987 0.0034
O4 O 0.2005 0.5557 0.0373
O5 O 0.2656 0.8314 0.3316
O6 O 0.2830 0.0933 0.3345
O7 O 0.2969 0.1858 0.0739
O8 O 0.3013 0.0460 0.7453
O9 O 0.3805 0.4273 0.5131
O10 O 0.4310 0.6912 0.5180
O11 O 0.4769 0.4143 0.8087
O12 O 0.4875 0.6927 0.8469
O13 O 0.5474 0.8988 0.2170
O14 O 0.5872 0.1037 0.6046
O15 O 0.6277 0.2660 0.9862
O16 O 0.6583 0.0282 0.0302
O17 O 0.7272 0.5993 0.3090
O18 O 0.7483 0.3518 0.3347
O19 O 0.8058 0.6782 0.0663
O20 O 0.8237 0.5324 0.7559
O21 O 0.8877 0.9324 0.4979
O22 O 0.9599 0.2196 0.5695
O23 O 0.9626 0.9498 0.8139
O24 O 0.9905 0.2221 0.8346
```

Largest 6 diffraction maxima, low angle first, 5° ≤ 2θ ≤ 70°:
(0 2 -1), d = 4.570 Å, 2θ 19.4, I 100
(1 1 -2), d = 4.145 Å, 2θ 21.4, I 78
(1 1 1), d = 3.490 Å, 2θ 25.5, I 62
(1 -3 1), d = 2.639 Å, 2θ 34.0, I 94
(0 0 4), d = 2.609 Å, 2θ 34.4, I 96
(2 2 -1), d = 2.247 Å, 2θ 40.1, I 44